Theoretical powder X-ray diffraction pattern
Compound: VO2
Radiation: CuKα
Structure: a structure optimized by DFT (PBE+U)
Lines closer than 0.1° are merged.

Crystal structure
abc: 5.884 5.890 19.455
angles: 90.63 98.44 117.73
Fractional positions:
V1 0.000 0.000 0.000
V2 0.000 0.242 0.246
V3 0.006 0.771 0.747
V4 0.062 0.529 0.091
V5 0.228 0.630 0.359
V6 0.427 0.727 0.653
V7 0.439 0.219 0.157
V8 0.499 0.250 0.755
V9 0.501 0.500 0.000
V10 0.505 0.747 0.246
V11 0.518 0.028 0.493
V12 0.563 0.781 0.845
V13 0.725 0.359 0.616
V14 0.926 0.978 0.404
V15 0.940 0.469 0.905
V16 0.988 0.500 0.501
O1 0.097 0.782 0.937
O2 0.098 0.321 0.435
O3 0.107 0.578 0.683
O4 0.128 0.052 0.708
O5 0.133 0.311 0.943
O6 0.134 0.550 0.183
O7 0.136 0.804 0.435
O8 0.156 0.086 0.189
O9 0.349 0.661 0.060
O10 0.350 0.457 0.309
O11 0.358 0.709 0.559
O12 0.360 0.891 0.312
O13 0.368 0.196 0.063
O14 0.368 0.930 0.808
O15 0.401 0.467 0.813
O16 0.421 0.203 0.565
O17 0.603 0.071 0.684
O18 0.603 0.534 0.189
O19 0.610 0.821 0.433
O20 0.626 0.290 0.445
O21 0.632 0.065 0.195
O22 0.635 0.806 0.939
O23 0.636 0.562 0.689
O24 0.656 0.341 0.937
O25 0.845 0.909 0.813
O26 0.857 0.197 0.557
O27 0.864 0.947 0.310
O28 0.866 0.689 0.056
O29 0.869 0.458 0.810
O30 0.876 0.644 0.557
O31 0.900 0.212 0.061
O32 0.921 0.451 0.312

Top 10 peaks for 10 to 90 degrees two-theta, in order of rising 2θ:
Position (°2θ)	intensity
18.63	94
21.03	28
21.61	39
30.38	58
30.45	60
34.86	49
34.98	100
36.08	51
57.11	37
63.23	45

---

Theoretical powder X-ray diffraction pattern
Compound: VO2
Radiation: CuKα
Structure: a structure optimized by DFT (PBE+U)
Lines closer than 0.1° are merged.

Crystal structure
abc: 7.196 7.196 9.953
angles: 133.64 133.64 24.53
Fractional positions:
V1 0.157 0.157 0.495
V2 0.337 0.337 0.180
V3 0.663 0.663 0.820
V4 0.843 0.843 0.505
O1 0.159 0.159 0.952
O2 0.166 0.166 0.698
O3 0.207 0.207 0.366
O4 0.467 0.467 0.633
O5 0.533 0.533 0.367
O6 0.793 0.793 0.634
O7 0.834 0.834 0.302
O8 0.841 0.841 0.048

Top 10 peaks for 10 to 90 degrees two-theta, in order of rising 2θ:
Position (°2θ)	intensity
12.58	100
17.82	87
28.35	43
35.62	62
36.09	17
40.10	19
48.01	37
55.38	18
58.33	36
67.54	12

---

Theoretical powder X-ray diffraction pattern
Compound: V2O3
Radiation: CuKα
Structure: a structure optimized by DFT (PBE+U)
Lines closer than 0.1° are merged.

Crystal structure
abc: 5.564 5.564 5.564
angles: 54.86 54.86 54.86
Fractional positions:
V1 0.149 0.149 0.149
V2 0.351 0.351 0.351
V3 0.649 0.649 0.649
V4 0.851 0.851 0.851
O1 0.053 0.750 0.447
O2 0.250 0.553 0.947
O3 0.447 0.053 0.750
O4 0.553 0.947 0.250
O5 0.750 0.447 0.053
O6 0.947 0.250 0.553

Top 10 peaks for 10 to 90 degrees two-theta, in order of rising 2θ:
Position (°2θ)	intensity
23.67	50
32.38	100
35.01	79
40.05	30
48.43	41
52.78	75
61.15	34
62.80	40
69.84	16
86.45	15

---

Theoretical powder X-ray diffraction pattern
Compound: VO2
Radiation: CuKα
Structure: a structure optimized by DFT (PBE+U)
Lines closer than 0.1° are merged.

Crystal structure
abc: 4.957 4.957 9.908
angles: 90.00 90.00 145.06
Fractional positions:
V1 0.135 0.865 0.576
V2 0.135 0.865 0.924
V3 0.865 0.135 0.076
V4 0.865 0.135 0.424
O1 0.076 0.924 0.750
O2 0.236 0.764 0.101
O3 0.236 0.764 0.399
O4 0.500 0.500 0.000
O5 0.500 0.500 0.500
O6 0.764 0.236 0.601
O7 0.764 0.236 0.899
O8 0.924 0.076 0.250

Top 10 peaks for 10 to 90 degrees two-theta, in order of rising 2θ:
Position (°2θ)	intensity
17.91	100
20.82	93
31.51	44
33.09	54
41.74	48
42.77	28
45.75	30
50.42	22
64.88	30
65.38	16

---

Theoretical powder X-ray diffraction pattern
Compound: VO2
Radiation: CuKα
Structure: a structure optimized by DFT (PBE+U)
Lines closer than 0.1° are merged.

Crystal structure
abc: 2.933 7.360 7.415
angles: 88.48 80.02 81.12
Fractional positions:
V1 0.167 0.181 0.019
V2 0.326 0.519 0.319
V3 0.674 0.481 0.681
V4 0.833 0.819 0.981
O1 0.019 0.621 0.794
O2 0.285 0.366 0.554
O3 0.324 0.946 0.866
O4 0.370 0.704 0.119
O5 0.630 0.296 0.881
O6 0.676 0.054 0.134
O7 0.715 0.634 0.446
O8 0.981 0.379 0.206

Top 10 peaks for 10 to 90 degrees two-theta, in order of rising 2θ:
Position (°2θ)	intensity
12.15	100
17.21	84
27.37	49
34.82	19
35.72	20
36.95	20
44.84	9
46.56	6
53.34	15
63.52	7